For Mn13Fe3O32, a GGA+U-relaxed structure gives the calculated powder diffraction line list in this record (copper Kα).
Neutral-atom scattering factors, no anomalous dispersion.

Structural model:
```
data_Mn13Fe3O32
_chemical_formula_sum 'Mn26 Fe6 O64'
_symmetry_space_group_name_H-M 'C 1 2/m 1'
_symmetry_Int_Tables_number 12
_symmetry_space_group_name_Hall '-C 2y'
_cell_length_a 11.641
_cell_length_b 11.668
_cell_length_c 10.062
_cell_angle_alpha 90.00
_cell_angle_beta 125.08
_cell_angle_gamma 90.00
loop_
_atom_site_label
_atom_site_fract_x
_atom_site_fract_y
_atom_site_fract_z
Mn1 0.000 0.000 0.000
Mn2 0.001 0.125 0.750
Mn3 0.001 0.375 0.750
Mn4 0.249 0.500 0.000
Mn5 0.250 0.250 0.500
Fe1 0.000 0.250 0.500
Fe2 0.000 0.500 0.000
O1 0.102 0.000 0.236
O2 0.102 0.500 0.233
O3 0.103 0.250 0.736
O4 0.117 0.141 0.486
O5 0.117 0.250 0.265
O6 0.117 0.360 0.485
O7 0.118 0.000 0.764
O8 0.118 0.110 0.985
O9 0.118 0.390 0.985
O10 0.118 0.500 0.765
```

Main lines, by intensity (10° ≤ 2θ ≤ 80°):
d_spacing	Position (°2θ)	Rel. int.
4.757	18.7	100
2.060	44.0	49
2.486	36.1	25
1.459	63.8	13
1.454	64.0	13
1.587	58.1	10
2.479	36.2	9
2.381	37.8	7
1.394	67.1	7
1.584	58.2	6